# SiNi3
Simulated powder diffraction line list, copper Kα. Input: a structure optimized by DFT (GGA-PBE).

Largest 10 diffraction maxima, sorted by position, 2θ = 10–80°:
d_spacing  two_theta  Rel. int.
7.662  11.5  88
3.831  23.2  41
2.554  35.1  63
2.229  40.5  41
2.086  43.4  1000
2.013  45.0  57
1.915  47.5  236
1.766  51.8  562
1.293  73.2  191
1.209  79.2  133

Structural model:
Unit cell a=2.5856 b=2.5856 c=22.9860 alpha=90.00 beta=90.00 gamma=120.00
Space group R-3m (No. 166, hexagonal axes)
Symmetry-distinct sites (fractional):
Si  0.0000  0.0000  0.0000 (multiplicity 3)
Ni  0.0000  0.0000  0.2547 (multiplicity 6)
Ni  0.0000  0.0000  0.5000 (multiplicity 3)